Starting from DFT lattice parameters and positions (PBE+U), the powder diffraction line list of Zn2Ni2O5 was simulated for Cu Ka.
Lines closer than 0.1° are merged.

Atomic structure:
a b c (Å): 5.2670 10.1074 3.6963
angles (deg): 90.00 90.00 90.00
Space group Pbam (No. 55)
One atom of each set of equivalent atoms:
Zn: 0.2263 0.0987 0.0000
Ni: 0.2291 0.8623 0.5000
O: 0.0000 0.5000 0.5000
O: 0.1476 0.1774 0.5000
O: 0.1917 0.8976 0.0000

Peak list (6 most intense, 2θ = 15–90°, by angle)
d_spacing	I (rel.)	index
2.633	46	2 0 0
2.596	100	1 2 1
2.527	34	0 4 0
1.848	24	0 0 2
1.823	26	2 4 0
1.513	37	2 0 2